# KPrF4
Theoretical PXRD pattern, Cu Kα (λ = 1.5418 Å). Input: a structure optimized by DFT (PBE).
Intensities are scaled so that the largest is 100.

Structure:
a b c (Å): 4.064 4.064 6.270
angles (deg): 90.00 90.00 90.00
Fractional coordinates of all 6 atoms:
K (0.000, 0.000, 0.000)
Pr (0.500, 0.500, 0.500)
F (0.000, 0.500, 0.288)
F (0.000, 0.500, 0.712)
F (0.500, 0.000, 0.288)
F (0.500, 0.000, 0.712)

Peak list (6 most intense, 2θ from 10° to 80°, by angle)
index	2theta	d_spacing	I (rel.)
0 0 1	14.13	6.270	44
1 0 0	21.87	4.064	23
1 0 1	26.13	3.410	100
1 1 2	42.68	2.118	49
2 0 0	44.59	2.032	23
2 1 1	52.41	1.746	28